(1)
This entry pairs a crystal structure of CoMo4C with its computed XRD peak list. Radiation: Cu Ka. Structure: a DFT-relaxed cell (GGA-PBE, Alexandria).
Neutral-atom scattering factors, no anomalous dispersion.

Cell and atoms:
```
12
Lattice="3.397 -5.747 0.000 3.397 5.747 0.000 -3.305 0.000 4.315" Properties=species:S:1:pos:R:3 pbc="T T T"
Co 0.918 4.172 3.236
Co 2.571 -4.172 1.079
Mo 1.292 2.405 1.325
Mo -0.873 0.517 3.324
Mo 0.779 -0.517 1.167
Mo 3.850 2.405 0.832
Mo -0.361 -2.405 3.483
Mo 2.710 0.517 3.148
Mo 4.362 -0.517 0.991
Mo 2.197 -2.405 2.990
C 2.571 0.668 1.079
C 0.918 -0.668 3.236
```

Main lines, sorted by position (10° ≤ 2θ ≤ 80°):
2θ (°), I_rel
33.22, 26
33.94, 50
37.61, 100
41.16, 70
41.83, 89
46.71, 24
48.04, 18
60.62, 23

(2)
This entry pairs a crystal structure of Co6Mo6C with its computed XRD peak list. Radiation: Cu Ka. Structure: a DFT-relaxed cell (GGA-PBE, Alexandria).
Neutral-atom scattering factors, no anomalous dispersion.

Cell and atoms:
```
26
Lattice="0.000 5.449 5.449 5.449 0.000 5.449 5.449 5.449 0.000" Properties=species:S:1:pos:R:3 pbc="T T T"
Co 0.000 0.000 0.000
Co 2.725 2.725 0.000
Co 2.725 0.000 2.725
Co 8.652 4.971 4.971
Co 2.247 2.247 2.247
Co 5.928 5.928 2.247
Co 5.928 2.247 5.928
Co 0.000 2.725 2.725
Co 4.971 8.652 4.971
Co 4.971 4.971 8.652
Co 8.652 8.652 8.652
Co 2.247 5.928 5.928
Mo 4.087 4.087 1.933
Mo 4.087 1.933 4.087
Mo 6.241 4.087 4.087
Mo 6.812 6.812 4.658
Mo 6.812 4.658 6.812
Mo 8.966 6.812 6.812
Mo 1.933 4.087 4.087
Mo 4.087 6.241 4.087
Mo 4.087 4.087 6.241
Mo 4.658 6.812 6.812
Mo 6.812 8.966 6.812
Mo 6.812 6.812 8.966
C 4.087 4.087 4.087
C 6.812 6.812 6.812
```

Main lines, sorted by position (10° ≤ 2θ ≤ 80°):
2θ (°), I_rel
32.87, 10
35.92, 16
40.55, 37
43.13, 100
47.17, 34
70.76, 9
73.77, 34
75.55, 9

(3)
This entry pairs a crystal structure of CoC2N2 with its computed XRD peak list. Radiation: Cu Ka. Structure: a DFT-relaxed cell (GGA-PBE, Alexandria).
Neutral-atom scattering factors, no anomalous dispersion.

Cell and atoms:
```
10
Lattice="5.767 0.000 0.000 0.000 5.767 0.000 0.000 0.000 5.767" Properties=species:S:1:pos:R:3 pbc="T T T"
Co 0.000 0.000 0.000
Co 2.884 2.884 2.884
C 1.104 1.104 1.104
C 1.104 4.663 4.663
C 4.663 1.104 4.663
C 4.663 4.663 1.104
N 1.783 1.783 1.783
N 1.783 3.984 3.984
N 3.984 1.783 3.984
N 3.984 3.984 1.783
```

Main lines, sorted by position (10° ≤ 2θ ≤ 80°):
2θ (°), I_rel
21.79, 100
26.77, 15
38.23, 31
44.43, 22
50.01, 10
60.02, 23
69.10, 12
73.43, 4

(4)
This entry pairs a crystal structure of CoC2N3 with its computed XRD peak list. Radiation: Cu Ka. Structure: a DFT-relaxed cell (GGA-PBE, Alexandria).
Neutral-atom scattering factors, no anomalous dispersion.

Cell and atoms:
```
18
Lattice="3.153 0.000 0.000 -1.576 2.731 0.000 0.000 0.000 21.929" Properties=species:S:1:pos:R:3 pbc="T T T"
Co -0.604 1.047 3.655
Co 1.208 0.000 18.274
Co 0.972 1.684 10.965
C -0.576 1.050 13.421
C -0.379 2.704 6.111
C 1.198 0.026 8.508
C 0.955 1.706 20.731
C 1.000 1.680 1.199
C 2.531 1.024 15.818
N -0.393 0.681 14.619
N -0.614 1.192 12.220
N 0.786 0.000 7.310
N -0.237 2.666 4.910
N 1.340 0.064 9.709
N 0.851 1.603 19.529
N 0.962 1.538 2.400
N 1.183 2.050 0.000
N 2.427 1.128 17.019
```

Main lines, sorted by position (10° ≤ 2θ ≤ 80°):
2θ (°), I_rel
12.11, 100
24.35, 21
33.83, 97
36.77, 25
38.85, 44
43.99, 20
46.97, 21
58.55, 18

(5)
This entry pairs a crystal structure of CoC2N2 with its computed XRD peak list. Radiation: Cu Ka. Structure: a DFT-relaxed cell (GGA-PBE, Alexandria).
Neutral-atom scattering factors, no anomalous dispersion.

Cell and atoms:
```
20
Lattice="3.417 -3.463 0.000 3.417 3.463 0.000 0.000 0.000 13.968" Properties=species:S:1:pos:R:3 pbc="T T T"
Co 3.417 3.322 12.504
Co 3.417 0.141 5.520
Co 3.417 -0.141 8.448
Co 3.417 -3.322 1.464
C 1.264 1.178 12.446
C 2.153 1.178 8.506
C 1.264 -1.178 1.522
C 2.153 -1.178 5.462
C 4.680 1.178 8.506
C 5.570 1.178 12.446
C 4.680 -1.178 5.462
C 5.570 -1.178 1.522
N 2.086 2.015 12.421
N 2.086 1.448 5.437
N 4.748 2.015 12.421
N 4.748 1.448 5.437
N 2.086 -1.448 8.531
N 2.086 -2.015 1.547
N 4.748 -1.448 8.531
N 4.748 -2.015 1.547
```

Main lines, sorted by position (10° ≤ 2θ ≤ 80°):
2θ (°), I_rel
12.67, 16
19.32, 100
25.51, 46
26.50, 12
36.96, 23
37.11, 28
45.44, 19
66.69, 9

(6)
This entry pairs a crystal structure of PrCoC6N6 with its computed XRD peak list. Radiation: Cu Ka. Structure: a DFT-relaxed cell (GGA-PBE, Alexandria).
Neutral-atom scattering factors, no anomalous dispersion.

Cell and atoms:
```
28
Lattice="7.657 0.000 0.000 -3.828 6.631 0.000 0.000 0.000 13.260" Properties=species:S:1:pos:R:3 pbc="T T T"
Pr 0.000 4.421 3.315
Pr 3.828 2.210 9.945
Co 0.000 0.000 0.000
Co 0.000 0.000 6.630
C 0.000 1.523 1.081
C 0.000 1.523 5.549
C -2.509 5.869 1.081
C -2.509 5.869 5.549
C 1.319 0.762 7.711
C 1.319 0.762 12.179
C 2.509 5.869 1.081
C 2.509 5.869 5.549
C 6.338 0.762 7.711
C 6.338 0.762 12.179
C 3.828 5.108 7.711
C 3.828 5.108 12.179
N 0.000 2.472 1.767
N 0.000 2.472 4.863
N -1.687 5.395 1.767
N -1.687 5.395 4.863
N 2.141 1.236 8.397
N 2.141 1.236 11.493
N 1.687 5.395 1.767
N 1.687 5.395 4.863
N 5.516 1.236 8.397
N 5.516 1.236 11.493
N 3.828 4.159 8.397
N 3.828 4.159 11.493
```

Main lines, sorted by position (10° ≤ 2θ ≤ 80°):
2θ (°), I_rel
14.94, 100
18.93, 60
23.23, 23
33.80, 23
35.83, 26
36.49, 24
49.57, 16
50.08, 15

(7)
This entry pairs a crystal structure of Sm3CoC2N6 with its computed XRD peak list. Radiation: Cu Ka. Structure: a DFT-relaxed cell (GGA-PBE, Alexandria).
Neutral-atom scattering factors, no anomalous dispersion.

Cell and atoms:
```
12
Lattice="5.286 0.000 0.000 -2.643 4.578 0.000 0.000 0.000 6.245" Properties=species:S:1:pos:R:3 pbc="T T T"
Sm 0.000 0.000 0.000
Sm 0.000 3.052 4.136
Sm 2.643 1.526 2.108
Co 0.000 0.000 3.122
C 0.000 3.052 1.631
C 2.643 1.526 4.613
N 0.000 1.687 1.703
N -1.182 3.734 1.703
N 1.461 0.844 4.542
N 1.182 3.734 1.703
N 3.824 0.844 4.542
N 2.643 2.890 4.542
```

Main lines, sorted by position (10° ≤ 2θ ≤ 80°):
2θ (°), I_rel
24.11, 100
33.92, 98
34.78, 93
42.04, 42
49.37, 43
55.08, 25
56.26, 26
61.25, 33

(8)
This entry pairs a crystal structure of Sm2CoC2N6 with its computed XRD peak list. Radiation: Cu Ka. Structure: a DFT-relaxed cell (GGA-PBE, Alexandria).
Neutral-atom scattering factors, no anomalous dispersion.

Cell and atoms:
```
11
Lattice="2.531 1.461 5.084 -2.531 1.461 5.084 0.000 -2.923 5.084" Properties=species:S:1:pos:R:3 pbc="T T T"
Sm 0.000 0.000 3.344
Sm 0.000 0.000 11.907
Co 0.000 0.000 0.000
C 0.000 0.000 6.237
C 0.000 0.000 9.014
N 0.000 -1.364 6.328
N -1.181 0.682 6.328
N -1.181 -0.682 8.922
N 1.181 0.682 6.328
N 1.181 -0.682 8.922
N 0.000 1.364 8.922
```

Main lines, sorted by position (10° ≤ 2θ ≤ 80°):
2θ (°), I_rel
23.41, 69
31.09, 61
35.47, 100
35.87, 87
42.93, 36
47.87, 37
51.33, 28
66.39, 31

(9)
This entry pairs a crystal structure of Sr3CoC3N3 with its computed XRD peak list. Radiation: Cu Ka. Structure: a DFT-relaxed cell (GGA-PBE, Alexandria).
Neutral-atom scattering factors, no anomalous dispersion.

Cell and atoms:
```
20
Lattice="8.738 0.000 0.000 -4.369 7.567 0.000 0.000 0.000 5.432" Properties=species:S:1:pos:R:3 pbc="T T T"
Sr -1.057 2.828 1.358
Sr -1.391 7.069 1.358
Sr 1.920 2.330 4.074
Sr 2.449 5.238 1.358
Sr 5.761 0.498 4.074
Sr 5.426 4.740 4.074
Co 0.000 5.045 4.074
Co 4.369 2.522 1.358
C -0.683 3.423 4.074
C -1.063 6.447 4.074
C 2.623 2.303 1.358
C 1.746 5.264 4.074
C 5.432 1.120 1.358
C 5.052 4.144 1.358
N -1.116 2.256 4.074
N -1.857 7.406 4.074
N 1.396 2.094 1.358
N 2.973 5.473 4.074
N 6.226 0.161 1.358
N 5.485 5.312 1.358
```

Main lines, sorted by position (10° ≤ 2θ ≤ 80°):
2θ (°), I_rel
26.18, 100
28.76, 59
31.27, 63
32.98, 64
35.59, 63
46.09, 40
49.31, 48
55.58, 40